The following is a simulated powder XRD pattern of TlGaF6. It was derived from the PBE geometry in the Materials Project, using a wavelength of 1.5418 Å.

Structure:
```
TlGaF6
1.0
2.7273 1.5746 4.7515
-2.7273 1.5746 4.7515
0.0000 -3.1492 4.7515
Tl Ga F
1 1 6
Direct
0.0000 0.0000 0.0000
0.5000 0.5000 0.5000
0.1604 0.7322 0.3760
0.2678 0.6240 0.8396
0.3760 0.1604 0.7322
0.6240 0.8396 0.2678
0.7322 0.3760 0.1604
0.8396 0.2678 0.6240
```

Top 12 peaks for 2θ from 10° to 90°, sorted by position:
2θ = 19.8°, I = 19; 2θ = 22.6°, I = 100; 2θ = 31.4°, I = 31; 2θ = 32.8°, I = 21; 2θ = 38.0°, I = 15; 2θ = 40.2°, I = 12; 2θ = 46.1°, I = 18; 2θ = 51.0°, I = 26; 2θ = 52.9°, I = 18; 2θ = 57.8°, I = 13; 2θ = 58.6°, I = 9; 2θ = 73.5°, I = 8